Starting from a DFT-relaxed cell (GGA-PBE, Alexandria), the X-ray diffraction stick pattern of Ce5PmSi2 was calculated for Cu Kα (weighted mean of Kα1 and Kα2).
No peak broadening, texture or thermal motion is included.

The 12 most intense peaks (5 to 70 degrees two-theta), in order of falling intensity:
Position (°2θ), I_rel, h k l
33.30, 100, 1 0 3
29.50, 85, 1 2 1
25.05, 56, 0 2 2
35.20, 30, 1 3 0
52.15, 28, 0 0 6
43.18, 25, 2 0 0
38.98, 23, 0 2 4
37.97, 22, 0 3 3
50.57, 17, 2 2 2
50.87, 16, 1 4 3
39.26, 14, 1 3 2
59.57, 13, 2 2 4

Structural model:
a b c (Å): 4.190 9.637 10.532
angles (deg): 90.00 90.00 90.00
Space group Immm (No. 71)
One atom of each set of equivalent atoms:
Ce (0.000, 0.000, 0.000) (multiplicity 2)
Ce (0.000, 0.303, 0.332) (multiplicity 8)
Pm (0.000, 0.500, 0.000) (multiplicity 2)
Si (0.000, 0.000, 0.288) (multiplicity 4)

=====

Starting from a DFT-relaxed cell (GGA-PBE, Alexandria), the X-ray diffraction stick pattern of Pr2Ho was calculated for Cu Kα (weighted mean of Kα1 and Kα2).
No peak broadening, texture or thermal motion is included.

The 12 most intense peaks (5 to 70 degrees two-theta), in order of falling intensity:
Position (°2θ), I_rel, h k l
32.01, 100, 1 0 6
29.12, 48, 1 0 3
30.32, 35, 0 0 12
59.36, 31, 1 1 12
36.37, 27, 1 0 9
49.73, 27, 1 1 0
54.95, 20, 1 0 18
60.37, 16, 2 0 6
48.06, 12, 1 0 15
63.12, 9, 0 0 24
58.67, 7, 2 0 3
28.10, 6, 1 0 0

Structural model:
a b c (Å): 3.6668 3.6668 35.3735
angles (deg): 90.00 90.00 120.00
Space group P-6m2 (No. 187)
One atom of each set of equivalent atoms:
Pr (0.0000, 0.0000, 0.0822) (multiplicity 2)
Pr (0.0000, 0.0000, 0.2462) (multiplicity 2)
Pr (0.0000, 0.0000, 0.4184) (multiplicity 2)
Pr (0.3333, 0.6667, 0.3323) (multiplicity 2)
Ho (0.3333, 0.6667, 0.0000) (multiplicity 1)
Ho (0.6667, 0.3333, 0.1644) (multiplicity 2)
Ho (0.6667, 0.3333, 0.5000) (multiplicity 1)

=====

Starting from a DFT-relaxed cell (GGA-PBE, Alexandria), the X-ray diffraction stick pattern of Ce5MgSn5 was calculated for Cu Kα (weighted mean of Kα1 and Kα2).
No peak broadening, texture or thermal motion is included.

The 12 most intense peaks (5 to 70 degrees two-theta), in order of falling intensity:
Position (°2θ), I_rel, h k l
35.07, 100, 1 1 2
31.01, 54, 0 2 0
31.39, 48, 6 0 0
44.71, 36, 6 2 0
31.68, 26, 3 1 -2
57.83, 24, 1 3 2
29.32, 23, 5 1 -1
10.35, 19, 2 0 0
58.28, 18, 7 1 2
65.16, 13, 4 2 -4
65.37, 11, 2 0 4
41.11, 10, 3 1 2

Structural model:
a b c (Å): 18.321 5.767 6.597
angles (deg): 90.00 111.03 90.00
Space group C2/m (No. 12)
One atom of each set of equivalent atoms:
Ce (0.000, 0.000, 0.000) (multiplicity 2)
Ce (0.161, 0.500, 0.161) (multiplicity 4)
Ce (0.181, 0.500, 0.682) (multiplicity 4)
Mg (0.000, 0.000, 0.500) (multiplicity 2)
Sn (0.000, 0.500, 0.500) (multiplicity 2)
Sn (0.160, 0.000, 0.424) (multiplicity 4)
Sn (0.160, 0.000, 0.896) (multiplicity 4)

=====

Starting from a DFT-relaxed cell (GGA-PBE, Alexandria), the X-ray diffraction stick pattern of TbTm4Te5 was calculated for Cu Kα (weighted mean of Kα1 and Kα2).
No peak broadening, texture or thermal motion is included.

The 10 most intense peaks (5 to 70 degrees two-theta), in order of falling intensity:
Position (°2θ), I_rel, h k l
29.27, 100, 0 0 2
41.88, 75, 3 1 2
68.81, 33, 3 1 4
51.91, 27, 2 4 2
60.71, 12, 0 0 4
25.28, 4, 1 2 1
49.55, 2, 1 2 3
66.84, 1, 6 3 1
36.68, 1, 3 2 1
60.30, 1, 6 1 1

Structural model:
a b c (Å): 9.644 9.644 6.106
angles (deg): 90.00 90.00 90.00
Space group I4 (No. 79)
One atom of each set of equivalent atoms:
Tb (0.000, 0.000, 0.000) (multiplicity 2)
Tm (0.106, 0.708, 0.498) (multiplicity 8)
Te (0.000, 0.000, 0.500) (multiplicity 2)
Te (0.096, 0.692, 0.998) (multiplicity 8)

=====

Starting from a DFT-relaxed cell (GGA-PBE, Alexandria), the X-ray diffraction stick pattern of Ac2Y3Er2 was calculated for Cu Kα (weighted mean of Kα1 and Kα2).
No peak broadening, texture or thermal motion is included.

The 12 most intense peaks (5 to 70 degrees two-theta), in order of falling intensity:
Position (°2θ), I_rel, h k l
30.54, 100, 1 1 2
32.06, 82, 3 1 -1
28.96, 48, 2 0 -3
29.87, 42, 4 0 1
47.49, 32, 0 2 0
57.15, 18, 4 2 1
27.70, 17, 4 0 0
39.68, 16, 2 0 4
56.61, 15, 2 2 -3
31.65, 15, 4 0 -2
51.32, 14, 1 1 -5
17.67, 13, 0 0 2

Structural model:
a b c (Å): 12.934 3.827 10.078
angles (deg): 90.00 95.08 90.00
Space group C2/m (No. 12)
One atom of each set of equivalent atoms:
Ac (0.227, 0.000, 0.168) (multiplicity 4)
Y (0.000, 0.500, 0.000) (multiplicity 2)
Y (0.138, 0.500, 0.475) (multiplicity 4)
Er (0.034, 0.000, 0.720) (multiplicity 4)

=====

Starting from a DFT-relaxed cell (GGA-PBE, Alexandria), the X-ray diffraction stick pattern of Li5B4 was calculated for Cu Kα (weighted mean of Kα1 and Kα2).
No peak broadening, texture or thermal motion is included.

The 12 most intense peaks (5 to 70 degrees two-theta), in order of falling intensity:
Position (°2θ), I_rel, h k l
18.62, 100, 1 1 0
45.76, 53, 2 2 1
43.98, 46, 2 2 -1
26.81, 38, 2 0 0
55.25, 29, 4 0 0
53.68, 24, 0 4 0
23.35, 21, 0 0 1
42.90, 19, 3 1 0
48.15, 14, 3 1 -1
64.72, 12, 1 3 -2
50.88, 11, 1 1 -2
47.75, 10, 0 0 2

Structural model:
a b c (Å): 6.661 6.830 3.816
angles (deg): 90.00 93.35 90.00
Space group C2/m (No. 12)
One atom of each set of equivalent atoms:
Li (0.000, 0.000, 0.000) (multiplicity 2)
Li (0.201, 0.000, 0.512) (multiplicity 4)
Li (0.250, 0.250, 0.000) (multiplicity 4)
B (0.000, 0.288, 0.500) (multiplicity 4)
B (0.011, 0.500, 0.747) (multiplicity 4)

=====

Starting from a DFT-relaxed cell (GGA-PBE, Alexandria), the X-ray diffraction stick pattern of Tb2Zn16Pd was calculated for Cu Kα (weighted mean of Kα1 and Kα2).
No peak broadening, texture or thermal motion is included.

The 12 most intense peaks (5 to 70 degrees two-theta), in order of falling intensity:
Position (°2θ), I_rel, h k l
40.43, 100, 0 3 3
40.18, 69, 2 2 0
41.17, 51, 0 0 6
34.61, 46, 3 0 0
35.76, 32, 0 2 4
45.39, 31, 2 2 3
28.45, 27, 1 1 3
41.43, 26, 2 0 5
58.89, 23, 2 2 6
58.30, 19, 4 1 3
65.97, 16, 3 3 3
33.40, 11, 1 2 2

Structural model:
a b c (Å): 8.9769 8.9769 13.1589
angles (deg): 90.00 90.00 120.00
Space group R3m (No. 160, hexagonal axes)
One atom of each set of equivalent atoms:
Tb (0.0000, 0.0000, 0.0000) (multiplicity 3)
Tb (0.0000, 0.0000, 0.3280) (multiplicity 3)
Zn (0.0000, 0.0000, 0.5625) (multiplicity 3)
Zn (0.0004, 0.2933, 0.6671) (multiplicity 18)
Zn (0.0120, 0.5060, 0.8174) (multiplicity 9)
Zn (0.1682, 0.3365, 0.4998) (multiplicity 9)
Zn (0.1693, 0.3386, 0.8480) (multiplicity 9)
Pd (0.0000, 0.0000, 0.7645) (multiplicity 3)

=====

Starting from a DFT-relaxed cell (GGA-PBE, Alexandria), the X-ray diffraction stick pattern of Pr3NdIn3 was calculated for Cu Kα (weighted mean of Kα1 and Kα2).
No peak broadening, texture or thermal motion is included.

The 12 most intense peaks (5 to 70 degrees two-theta), in order of falling intensity:
Position (°2θ), I_rel, h k l
29.24, 100, 3 0 1
34.76, 73, 3 1 2
58.95, 26, 6 1 1
48.04, 21, 4 3 1
46.04, 19, 4 2 2
62.30, 15, 5 4 1
60.64, 12, 6 0 2
41.83, 11, 4 2 0
43.97, 8, 3 3 2
67.15, 6, 4 4 4
22.55, 6, 2 1 1
65.56, 5, 6 3 1

Structural model:
a b c (Å): 9.658 9.658 9.658
angles (deg): 90.00 90.00 90.00
Space group P2_13 (No. 198)
One atom of each set of equivalent atoms:
Pr (0.074, 0.426, 0.574) (multiplicity 4)
Pr (0.174, 0.826, 0.326) (multiplicity 4)
Pr (0.175, 0.175, 0.175) (multiplicity 4)
Nd (0.075, 0.575, 0.925) (multiplicity 4)
In (0.000, 0.251, 0.873) (multiplicity 12)

=====

Starting from a DFT-relaxed cell (GGA-PBE, Alexandria), the X-ray diffraction stick pattern of Y2Zn3Ni12Rh was calculated for Cu Kα (weighted mean of Kα1 and Kα2).
No peak broadening, texture or thermal motion is included.

The 12 most intense peaks (5 to 70 degrees two-theta), in order of falling intensity:
Position (°2θ), I_rel, h k l
46.18, 100, 2 0 8
48.95, 51, 0 2 10
36.10, 49, 1 1 3
42.27, 41, 0 2 4
35.01, 36, 0 1 11
32.88, 34, 1 0 10
41.87, 27, 0 1 14
38.63, 27, 1 1 6
23.91, 26, 0 1 5
41.24, 26, 2 0 2
47.25, 26, 0 0 18
67.76, 14, 1 2 14

Structural model:
a b c (Å): 5.0961 5.0961 34.6279
angles (deg): 90.00 90.00 120.00
Space group R-3m (No. 166, hexagonal axes)
One atom of each set of equivalent atoms:
Y (0.0000, 0.0000, 0.1421) (multiplicity 6)
Zn (0.0000, 0.5000, 0.0000) (multiplicity 9)
Ni (0.0034, 0.5017, 0.1081) (multiplicity 18)
Ni (0.0182, 0.5091, 0.6119) (multiplicity 18)
Rh (0.0000, 0.0000, 0.5000) (multiplicity 3)

=====

Starting from a DFT-relaxed cell (GGA-PBE, Alexandria), the X-ray diffraction stick pattern of BaTa4O11 was calculated for Cu Kα (weighted mean of Kα1 and Kα2).
No peak broadening, texture or thermal motion is included.

The 12 most intense peaks (5 to 70 degrees two-theta), in order of falling intensity:
Position (°2θ), I_rel, h k l
31.45, 100, 1 1 2
28.87, 89, 1 1 1
28.42, 51, 0 0 4
58.04, 41, 3 0 4
16.04, 39, 1 0 0
49.47, 37, 3 0 0
35.36, 33, 1 1 3
52.25, 29, 1 1 6
14.10, 29, 0 0 2
45.97, 22, 1 1 5
59.81, 16, 2 2 2
21.41, 15, 1 0 2

Structural model:
a b c (Å): 6.3819 6.3819 12.5632
angles (deg): 90.00 90.00 120.00
Space group P6_322 (No. 182)
One atom of each set of equivalent atoms:
Ba (0.3333, 0.6667, 0.2500) (multiplicity 2)
Ta (0.0000, 0.3527, 0.5000) (multiplicity 6)
Ta (0.3333, 0.6667, 0.7500) (multiplicity 2)
O (0.0000, 0.2411, 0.0000) (multiplicity 6)
O (0.0718, 0.4349, 0.6522) (multiplicity 12)
O (0.3333, 0.6667, 0.0323) (multiplicity 4)

=====

Starting from a DFT-relaxed cell (GGA-PBE, Alexandria), the X-ray diffraction stick pattern of PrSb3Rh3 was calculated for Cu Kα (weighted mean of Kα1 and Kα2).
No peak broadening, texture or thermal motion is included.

The 12 most intense peaks (5 to 70 degrees two-theta), in order of falling intensity:
Position (°2θ), I_rel, h k l
27.14, 100, 1 1 3
41.97, 100, 3 0 0
35.30, 99, 1 1 6
46.13, 51, 1 1 9
37.85, 38, 3 -2 2
58.53, 36, 0 3 9
23.86, 29, 1 1 0
38.87, 25, 0 0 9
40.82, 23, 3 -1 4
25.63, 20, 0 0 6
55.97, 20, 4 -2 6
12.74, 15, 0 0 3

Structural model:
a b c (Å): 7.4577 7.4577 20.8520
angles (deg): 90.00 90.00 120.00
Space group R-3 (No. 148, hexagonal axes)
One atom of each set of equivalent atoms:
Pr (0.0000, 0.0000, 0.1623) (multiplicity 6)
Sb (0.0227, 0.3047, 0.4106) (multiplicity 18)
Rh (0.0167, 0.3060, 0.9533) (multiplicity 18)

=====

Starting from a DFT-relaxed cell (GGA-PBE, Alexandria), the X-ray diffraction stick pattern of Rb6Sb2Pd was calculated for Cu Kα (weighted mean of Kα1 and Kα2).
No peak broadening, texture or thermal motion is included.

The 12 most intense peaks (5 to 70 degrees two-theta), in order of falling intensity:
Position (°2θ), I_rel, h k l
28.27, 100, 1 1 0
26.77, 35, 0 1 8
31.25, 32, 1 0 10
50.05, 20, 3 0 0
51.96, 15, 2 1 10
16.43, 14, 1 0 1
42.64, 14, 0 2 10
57.36, 14, 1 1 18
49.14, 13, 1 2 8
58.48, 12, 2 2 0
39.33, 12, 2 0 8
43.20, 11, 1 1 12

Structural model:
a b c (Å): 6.3130 6.3130 33.5889
angles (deg): 90.00 90.00 120.00
Space group R-3m (No. 166, hexagonal axes)
One atom of each set of equivalent atoms:
Rb (0.0000, 0.0000, 0.0804) (multiplicity 6)
Rb (0.0000, 0.0000, 0.1950) (multiplicity 6)
Rb (0.0000, 0.0000, 0.3083) (multiplicity 6)
Sb (0.0000, 0.0000, 0.4193) (multiplicity 6)
Pd (0.0000, 0.0000, 0.5000) (multiplicity 3)

=====

Question: Number 12 is which compound?
Answer: Rb6Sb2Pd